Entry 1:
Nd2Sn7Pd12: calculated X-ray diffraction stick pattern (Cu Kα (λ = 1.5418 Å)), based on a structure optimized by DFT (GGA-PBE).
Peak positions follow from Bragg's law for the DFT cell and can differ from measured ones.

Main lines, by intensity (10 to 90 degrees two-theta):
2θ 33.40, intensity 100
2θ 44.14, intensity 33
2θ 41.05, intensity 25
2θ 44.28, intensity 20
2θ 64.31, intensity 16
2θ 74.33, intensity 13
2θ 36.10, intensity 13
2θ 44.45, intensity 13
2θ 47.66, intensity 12
2θ 41.89, intensity 10

Structure:
```
Nd2Sn7Pd12
1.0
10.856 0.000 0.000
-5.428 9.401 0.000
0.000 0.000 4.091
Nd Sn Pd
2 7 12
direct
0.333 0.667 0.240
0.667 0.333 0.760
0.000 0.000 0.500
0.116 0.709 0.741
0.291 0.407 0.741
0.407 0.116 0.259
0.593 0.884 0.741
0.709 0.593 0.259
0.884 0.291 0.259
0.062 0.440 0.755
0.116 0.259 0.237
0.144 0.884 0.237
0.259 0.144 0.763
0.378 0.938 0.755
0.440 0.378 0.245
0.560 0.622 0.755
0.622 0.062 0.245
0.741 0.856 0.237
0.856 0.116 0.763
0.884 0.741 0.763
0.938 0.560 0.245
```

Entry 2:
PrY3Cd: calculated X-ray diffraction stick pattern (Cu Kα (λ = 1.5418 Å)), based on a structure optimized by DFT (GGA-PBE).
Peak positions follow from Bragg's law for the DFT cell and can differ from measured ones.

Main lines, by intensity (10 to 90 degrees two-theta):
2θ 31.81, intensity 100
2θ 30.96, intensity 89
2θ 33.27, intensity 46
2θ 34.09, intensity 44
2θ 59.06, intensity 33
2θ 48.37, intensity 32
2θ 62.04, intensity 27
2θ 34.59, intensity 20
2θ 59.59, intensity 16
2θ 63.44, intensity 13

Structure:
```
PrY3Cd
1.0
2.630 -8.324 0.000
2.630 8.324 0.000
0.000 0.000 7.065
Pr Y Cd
2 6 2
direct
0.109 0.891 0.500
0.891 0.109 0.000
0.109 0.891 0.013
0.292 0.708 0.753
0.495 0.505 0.265
0.505 0.495 0.765
0.708 0.292 0.253
0.891 0.109 0.513
0.303 0.697 0.253
0.697 0.303 0.753
```

Entry 3:
KNd9Si6O26: calculated X-ray diffraction stick pattern (Cu Kα (λ = 1.5418 Å)), based on a structure optimized by DFT (GGA-PBE).
Peak positions follow from Bragg's law for the DFT cell and can differ from measured ones.

Main lines, by intensity (10 to 90 degrees two-theta):
2θ 30.91, intensity 100
2θ 31.09, intensity 51
2θ 27.09, intensity 38
2θ 47.74, intensity 35
2θ 28.21, intensity 35
2θ 21.23, intensity 29
2θ 50.53, intensity 29
2θ 22.20, intensity 29
2θ 32.09, intensity 28
2θ 45.29, intensity 28

Structure:
```
KNd9Si6O26
1.0
9.663 0.000 0.000
-4.832 8.369 0.000
0.000 0.000 7.160
K Nd Si O
1 9 6 26
direct
0.000 0.000 0.000
0.000 0.000 0.500
0.093 0.434 0.252
0.100 0.678 0.755
0.322 0.422 0.755
0.342 0.907 0.252
0.566 0.658 0.252
0.578 0.900 0.755
0.667 0.333 0.002
0.667 0.333 0.503
0.307 0.269 0.256
0.365 0.065 0.746
0.700 0.635 0.746
0.731 0.037 0.256
0.935 0.300 0.746
0.963 0.693 0.256
0.023 0.196 0.729
0.084 0.747 0.075
0.085 0.751 0.436
0.173 0.977 0.729
0.219 0.075 0.275
0.249 0.334 0.436
0.253 0.337 0.075
0.333 0.667 0.256
0.333 0.667 0.750
0.424 0.008 0.934
0.443 0.022 0.564
0.460 0.263 0.756
0.503 0.348 0.250
0.579 0.557 0.564
0.585 0.576 0.934
0.652 0.155 0.250
0.663 0.916 0.075
0.666 0.915 0.436
0.737 0.197 0.756
0.803 0.540 0.756
0.804 0.827 0.729
0.845 0.497 0.250
0.856 0.781 0.275
0.925 0.144 0.275
0.978 0.421 0.564
0.992 0.415 0.934
```

Entry 4:
Ca2MgTeO6: calculated X-ray diffraction stick pattern (Cu Kα (λ = 1.5418 Å)), based on a structure optimized by DFT (GGA-PBE).
Peak positions follow from Bragg's law for the DFT cell and can differ from measured ones.

Main lines, by intensity (10 to 90 degrees two-theta):
2θ 32.28, intensity 100
2θ 19.43, intensity 50
2θ 19.75, intensity 46
2θ 46.19, intensity 33
2θ 22.62, intensity 27
2θ 38.22, intensity 26
2θ 31.80, intensity 25
2θ 32.61, intensity 23
2θ 57.93, intensity 20
2θ 46.42, intensity 18

Structure:
```
Ca2MgTeO6
1.0
5.492 0.000 0.000
0.000 5.629 0.000
-5.467 0.000 7.825
Ca Mg Te O
4 2 2 12
direct
0.236 0.049 0.248
0.236 0.451 0.748
0.764 0.549 0.252
0.764 0.951 0.752
0.000 0.000 0.500
0.000 0.500 0.000
0.500 0.000 0.000
0.500 0.500 0.500
0.169 0.196 0.955
0.169 0.304 0.455
0.257 0.717 0.949
0.257 0.783 0.449
0.352 0.031 0.760
0.352 0.469 0.260
0.648 0.531 0.740
0.648 0.969 0.240
0.743 0.217 0.551
0.743 0.283 0.051
0.831 0.696 0.545
0.831 0.804 0.045
```

Entry 5:
Ba2GaAgHg6: calculated X-ray diffraction stick pattern (Cu Kα (λ = 1.5418 Å)), based on a structure optimized by DFT (GGA-PBE).
Peak positions follow from Bragg's law for the DFT cell and can differ from measured ones.

Main lines, by intensity (10 to 90 degrees two-theta):
2θ 34.78, intensity 100
2θ 25.77, intensity 52
2θ 32.46, intensity 47
2θ 35.35, intensity 43
2θ 34.60, intensity 38
2θ 25.01, intensity 32
2θ 18.56, intensity 28
2θ 37.28, intensity 26
2θ 36.01, intensity 25
2θ 25.45, intensity 22

Structure:
```
Ba2GaAgHg6
1.0
6.180 0.000 0.000
2.639 6.926 0.000
2.567 0.541 7.122
Ba Ga Ag Hg
2 1 1 6
direct
0.229 0.237 0.283
0.771 0.763 0.717
0.000 0.000 0.000
0.500 0.500 0.500
0.211 0.763 0.280
0.267 0.599 0.900
0.293 0.214 0.751
0.707 0.786 0.249
0.733 0.401 0.100
0.789 0.237 0.720
```

Entry 6:
Ce3Ir2Pb: calculated X-ray diffraction stick pattern (Cu Kα (λ = 1.5418 Å)), based on a structure optimized by DFT (GGA-PBE).
Peak positions follow from Bragg's law for the DFT cell and can differ from measured ones.

Main lines, by intensity (10 to 90 degrees two-theta):
2θ 30.89, intensity 100
2θ 36.42, intensity 81
2θ 38.20, intensity 49
2θ 13.15, intensity 34
2θ 35.86, intensity 24
2θ 47.68, intensity 24
2θ 36.84, intensity 24
2θ 36.20, intensity 22
2θ 38.15, intensity 18
2θ 53.40, intensity 16

Structure:
```
Ce3Ir2Pb
1.0
7.767 -2.356 0.000
7.767 2.356 0.000
-3.009 0.000 8.266
Ce Ir Pb
6 4 2
direct
0.077 0.077 0.202
0.241 0.241 0.728
0.403 0.403 0.137
0.597 0.597 0.863
0.759 0.759 0.272
0.923 0.923 0.798
0.053 0.053 0.656
0.197 0.197 0.045
0.803 0.803 0.955
0.947 0.947 0.344
0.389 0.389 0.520
0.611 0.611 0.480
```

Entry 7:
AlCu7Sb2Au2: calculated X-ray diffraction stick pattern (Cu Kα (λ = 1.5418 Å)), based on a structure optimized by DFT (GGA-PBE).
Peak positions follow from Bragg's law for the DFT cell and can differ from measured ones.

Main lines, by intensity (10 to 90 degrees two-theta):
2θ 49.54, intensity 100
2θ 42.94, intensity 81
2θ 34.46, intensity 76
2θ 35.06, intensity 73
2θ 39.58, intensity 62
2θ 42.73, intensity 61
2θ 12.49, intensity 55
2θ 24.39, intensity 51
2θ 37.49, intensity 43
2θ 43.14, intensity 39

Structure:
```
AlCu7Sb2Au2
1.0
2.604 -2.601 0.000
2.604 2.601 0.000
-2.508 0.000 14.177
Al Cu Sb Au
1 7 2 2
direct
0.000 0.000 0.000
0.062 0.561 0.128
0.276 0.276 0.542
0.439 0.938 0.872
0.500 0.500 0.000
0.561 0.062 0.128
0.724 0.724 0.458
0.938 0.439 0.872
0.175 0.175 0.360
0.825 0.825 0.640
0.371 0.371 0.735
0.629 0.629 0.265
```

Entry 8:
Tb6P3Se2S: calculated X-ray diffraction stick pattern (Cu Kα (λ = 1.5418 Å)), based on a structure optimized by DFT (GGA-PBE).
Peak positions follow from Bragg's law for the DFT cell and can differ from measured ones.

Main lines, by intensity (10 to 90 degrees two-theta):
2θ 31.31, intensity 100
2θ 27.11, intensity 41
2θ 45.08, intensity 37
2θ 44.66, intensity 36
2θ 55.91, intensity 19
2θ 74.54, intensity 16
2θ 73.92, intensity 15
2θ 26.78, intensity 13
2θ 53.21, intensity 13
2θ 82.90, intensity 12

Structure:
```
Tb6P3Se2S
1.0
8.834 -2.012 0.000
8.834 2.012 0.000
-1.966 0.000 7.872
Tb P Se S
6 3 2 1
direct
0.005 0.005 0.246
0.332 0.332 0.429
0.338 0.338 0.904
0.662 0.662 0.096
0.668 0.668 0.571
0.995 0.995 0.754
0.167 0.167 0.334
0.500 0.500 0.000
0.833 0.833 0.666
0.166 0.166 0.834
0.834 0.834 0.166
0.500 0.500 0.500
```

Entry 9:
NdDy6Tl6: calculated X-ray diffraction stick pattern (Cu Kα (λ = 1.5418 Å)), based on a structure optimized by DFT (GGA-PBE).
Peak positions follow from Bragg's law for the DFT cell and can differ from measured ones.

Main lines, by intensity (10 to 90 degrees two-theta):
2θ 36.43, intensity 100
2θ 32.56, intensity 63
2θ 32.10, intensity 54
2θ 57.23, intensity 32
2θ 33.92, intensity 28
2θ 59.83, intensity 24
2θ 68.21, intensity 23
2θ 37.66, intensity 23
2θ 27.71, intensity 22
2θ 29.99, intensity 18

Structure:
```
NdDy6Tl6
1.0
6.439 0.000 0.000
-3.220 5.577 0.000
0.000 0.000 10.573
Nd Dy Tl
1 6 6
direct
0.000 0.000 0.000
0.000 0.000 0.337
0.000 0.000 0.663
0.333 0.667 0.000
0.333 0.667 0.500
0.667 0.333 0.000
0.667 0.333 0.500
0.000 0.500 0.246
0.000 0.500 0.754
0.500 0.000 0.246
0.500 0.000 0.754
0.500 0.500 0.246
0.500 0.500 0.754
```

Entry 10:
Zr2TeBr12: calculated X-ray diffraction stick pattern (Cu Kα (λ = 1.5418 Å)), based on a structure optimized by DFT (GGA-PBE).
Peak positions follow from Bragg's law for the DFT cell and can differ from measured ones.

Main lines, by intensity (10 to 90 degrees two-theta):
2θ 28.81, intensity 100
2θ 13.07, intensity 82
2θ 27.23, intensity 67
2θ 42.22, intensity 55
2θ 28.24, intensity 54
2θ 47.23, intensity 34
2θ 27.35, intensity 33
2θ 26.85, intensity 31
2θ 34.70, intensity 31
2θ 43.17, intensity 26

Structure:
```
Zr2TeBr12
1.0
7.470 0.000 0.000
0.000 16.762 0.000
-2.607 0.000 19.563
Zr Te Br
8 4 48
direct
0.189 0.202 0.327
0.189 0.298 0.827
0.266 0.186 0.517
0.266 0.314 0.017
0.734 0.686 0.983
0.734 0.814 0.483
0.811 0.702 0.173
0.811 0.798 0.673
0.334 0.057 0.164
0.334 0.443 0.664
0.666 0.557 0.336
0.666 0.943 0.836
0.026 0.189 0.758
0.026 0.311 0.258
0.038 0.080 0.256
0.038 0.420 0.756
0.050 0.692 0.083
0.050 0.808 0.583
0.119 0.191 0.071
0.119 0.309 0.571
0.124 0.079 0.580
0.124 0.421 0.080
0.148 0.544 0.588
0.148 0.956 0.088
0.362 0.087 0.420
0.362 0.413 0.920
0.372 0.201 0.920
0.372 0.299 0.420
0.404 0.565 0.406
0.404 0.935 0.906
0.425 0.691 0.916
0.425 0.809 0.416
0.474 0.192 0.261
0.474 0.308 0.761
0.482 0.543 0.749
0.482 0.957 0.249
0.518 0.043 0.751
0.518 0.457 0.251
0.526 0.692 0.239
0.526 0.808 0.739
0.575 0.191 0.584
0.575 0.309 0.084
0.596 0.065 0.094
0.596 0.435 0.594
0.628 0.701 0.580
0.628 0.799 0.080
0.638 0.587 0.080
0.638 0.913 0.580
0.852 0.044 0.912
0.852 0.456 0.412
0.876 0.579 0.920
0.876 0.921 0.420
0.881 0.691 0.429
0.881 0.809 0.929
0.950 0.192 0.417
0.950 0.308 0.917
0.962 0.580 0.244
0.962 0.920 0.744
0.974 0.689 0.742
0.974 0.811 0.242
```

Entry 11:
KSr2AcO4: calculated X-ray diffraction stick pattern (Cu Kα (λ = 1.5418 Å)), based on a structure optimized by DFT (GGA-PBE).
Peak positions follow from Bragg's law for the DFT cell and can differ from measured ones.

Main lines, by intensity (10 to 90 degrees two-theta):
2θ 29.18, intensity 100
2θ 18.80, intensity 69
2θ 34.21, intensity 62
2θ 48.29, intensity 44
2θ 33.03, intensity 33
2θ 58.19, intensity 31
2θ 39.32, intensity 23
2θ 60.50, intensity 22
2θ 49.16, intensity 21
2θ 30.02, intensity 18

Structure:
```
KSr2AcO4
1.0
5.242 0.000 0.000
0.000 5.242 0.000
0.000 0.000 10.848
K Sr Ac O
2 4 2 8
direct
0.000 0.000 0.000
0.500 0.500 0.500
0.000 0.500 0.250
0.000 0.500 0.750
0.500 0.000 0.250
0.500 0.000 0.750
0.000 0.000 0.500
0.500 0.500 0.000
0.000 0.000 0.272
0.000 0.000 0.728
0.000 0.500 0.000
0.000 0.500 0.500
0.500 0.000 0.000
0.500 0.000 0.500
0.500 0.500 0.228
0.500 0.500 0.772
```